Record 1
Starting from a PBE-relaxed structure, the powder diffractogram of KGaSn2 was simulated for Cu Ka.
Neutral-atom scattering factors, no anomalous dispersion.

Principal peaks in the range 2θ from 10° to 80°, low angle first:
- 2θ 13.0, rel. 63
- 2θ 26.2, rel. 54
- 2θ 29.0, rel. 83
- 2θ 29.2, rel. 47
- 2θ 29.4, rel. 100
- 2θ 41.1, rel. 63

Atomic structure:
```
KGaSn2
1.0
3.454 0.000 0.000
-0.069 6.876 0.000
-1.647 -1.546 9.998
K Ga Sn
2 2 4
direct
0.135 0.078 0.283
0.865 0.922 0.717
0.393 0.462 0.792
0.607 0.538 0.208
0.220 0.648 0.434
0.498 0.768 0.004
0.502 0.232 0.996
0.780 0.352 0.566
```


Record 2
Starting from a PBE-relaxed structure, the powder diffractogram of Sm3Zn8Ru3 was simulated for Cu Ka.
Neutral-atom scattering factors, no anomalous dispersion.

Principal peaks in the range 2θ from 10° to 80°, low angle first:
- 2θ 35.4, rel. 100
- 2θ 35.9, rel. 26
- 2θ 36.1, rel. 33
- 2θ 36.3, rel. 26
- 2θ 38.6, rel. 33
- 2θ 41.8, rel. 48

Atomic structure:
```
Sm3Zn8Ru3
1.0
-2.162 4.606 6.393
2.162 -4.606 6.393
2.162 4.606 -6.393
Sm Zn Ru
3 8 3
direct
0.000 0.000 0.000
0.304 0.304 0.000
0.696 0.696 0.000
0.012 0.654 0.358
0.153 0.872 0.281
0.296 0.654 0.642
0.409 0.128 0.281
0.591 0.872 0.719
0.704 0.346 0.358
0.847 0.128 0.719
0.988 0.346 0.642
0.328 0.500 0.828
0.500 0.000 0.500
0.672 0.500 0.172
```


Record 3
Starting from a PBE-relaxed structure, the powder diffractogram of SnPb4S6 was simulated for Cu Ka.
Neutral-atom scattering factors, no anomalous dispersion.

Principal peaks in the range 2θ from 10° to 80°, low angle first:
- 2θ 20.9, rel. 46
- 2θ 21.6, rel. 100
- 2θ 24.3, rel. 49
- 2θ 24.5, rel. 71
- 2θ 35.2, rel. 38
- 2θ 42.6, rel. 41

Atomic structure:
```
SnPb4S6
1.0
7.696 -3.823 0.000
7.696 3.823 0.000
-6.377 0.000 11.799
Sn Pb S
2 8 12
direct
0.225 0.775 0.500
0.775 0.225 0.000
0.076 0.772 0.733
0.180 0.387 0.242
0.360 0.733 0.099
0.387 0.180 0.742
0.656 0.802 0.428
0.733 0.360 0.599
0.772 0.076 0.233
0.802 0.656 0.928
0.022 0.100 0.457
0.057 0.711 0.134
0.075 0.579 0.455
0.100 0.022 0.957
0.378 0.817 0.700
0.485 0.531 0.396
0.508 0.990 0.258
0.531 0.485 0.896
0.579 0.075 0.955
0.711 0.057 0.634
0.817 0.378 0.200
0.990 0.508 0.758
```


Record 4
Starting from a PBE-relaxed structure, the powder diffractogram of La9DyHo4 was simulated for Cu Ka.
Neutral-atom scattering factors, no anomalous dispersion.

Principal peaks in the range 2θ from 10° to 80°, low angle first:
- 2θ 31.1, rel. 54
- 2θ 31.3, rel. 100
- 2θ 31.8, rel. 38
- 2θ 50.6, rel. 22
- 2θ 55.2, rel. 21
- 2θ 64.4, rel. 23

Atomic structure:
```
La9DyHo4
1.0
10.044 0.000 0.000
-5.022 8.698 0.000
0.000 0.000 11.506
La Dy Ho
18 2 8
direct
0.078 0.539 0.250
0.207 0.414 0.529
0.207 0.414 0.971
0.207 0.793 0.529
0.207 0.793 0.971
0.414 0.207 0.029
0.414 0.207 0.471
0.461 0.539 0.250
0.461 0.922 0.250
0.539 0.078 0.750
0.539 0.461 0.750
0.586 0.793 0.529
0.586 0.793 0.971
0.793 0.207 0.029
0.793 0.207 0.471
0.793 0.586 0.029
0.793 0.586 0.471
0.922 0.461 0.750
0.333 0.667 0.750
0.667 0.333 0.250
0.000 0.000 0.000
0.000 0.000 0.500
0.109 0.219 0.250
0.109 0.891 0.250
0.219 0.109 0.750
0.781 0.891 0.250
0.891 0.109 0.750
0.891 0.781 0.750
```


Record 5
Starting from a PBE-relaxed structure, the powder diffractogram of Cs2PS6 was simulated for Cu Ka.
Neutral-atom scattering factors, no anomalous dispersion.

Principal peaks in the range 2θ from 10° to 80°, low angle first:
- 2θ 21.5, rel. 44
- 2θ 23.1, rel. 86
- 2θ 23.5, rel. 80
- 2θ 27.8, rel. 64
- 2θ 28.8, rel. 78
- 2θ 31.7, rel. 100

Atomic structure:
```
Cs2PS6
1.0
5.109 0.000 0.000
-0.003 7.295 0.000
-1.328 -3.643 6.792
Cs P S
2 1 6
direct
0.249 0.179 0.360
0.751 0.821 0.640
0.000 0.500 0.000
0.168 0.649 0.300
0.326 0.239 0.904
0.326 0.666 0.905
0.674 0.334 0.095
0.674 0.761 0.096
0.832 0.351 0.700
```


Record 6
Starting from a PBE-relaxed structure, the powder diffractogram of Hf3S2 was simulated for Cu Ka.
Neutral-atom scattering factors, no anomalous dispersion.

Principal peaks in the range 2θ from 10° to 80°, low angle first:
- 2θ 30.3, rel. 21
- 2θ 33.0, rel. 100
- 2θ 42.6, rel. 25
- 2θ 51.9, rel. 23
- 2θ 55.6, rel. 23
- 2θ 62.9, rel. 16

Atomic structure:
```
Hf3S2
1.0
5.293 -3.052 0.000
5.293 3.052 0.000
-3.537 0.000 5.902
Hf S
6 4
direct
0.080 0.920 0.750
0.251 0.421 0.250
0.421 0.251 0.750
0.579 0.749 0.250
0.749 0.579 0.750
0.920 0.080 0.250
0.161 0.662 0.985
0.338 0.839 0.515
0.662 0.161 0.485
0.839 0.338 0.015
```


Record 7
Starting from a PBE-relaxed structure, the powder diffractogram of SrCeGeN3 was simulated for Cu Ka.
Neutral-atom scattering factors, no anomalous dispersion.

Principal peaks in the range 2θ from 10° to 80°, low angle first:
- 2θ 15.3, rel. 79
- 2θ 26.9, rel. 36
- 2θ 31.0, rel. 49
- 2θ 33.8, rel. 63
- 2θ 34.2, rel. 100
- 2θ 35.1, rel. 48

Atomic structure:
```
SrCeGeN3
1.0
7.543 0.000 0.000
0.000 3.683 0.000
-1.102 0.000 7.661
Sr Ce Ge N
2 2 2 6
direct
0.165 0.250 0.182
0.835 0.750 0.818
0.368 0.750 0.836
0.632 0.250 0.164
0.104 0.250 0.603
0.896 0.750 0.397
0.126 0.250 0.844
0.153 0.750 0.504
0.426 0.750 0.125
0.574 0.250 0.875
0.847 0.250 0.496
0.874 0.750 0.156
```


Record 8
Starting from a PBE-relaxed structure, the powder diffractogram of Rb2Br2O5 was simulated for Cu Ka.
Neutral-atom scattering factors, no anomalous dispersion.

Principal peaks in the range 2θ from 10° to 80°, low angle first:
- 2θ 26.1, rel. 95
- 2θ 26.8, rel. 100
- 2θ 27.3, rel. 97
- 2θ 28.0, rel. 69
- 2θ 28.7, rel. 79
- 2θ 29.0, rel. 79

Atomic structure:
```
Rb2Br2O5
1.0
4.398 0.000 0.000
0.128 6.372 0.000
0.631 0.069 6.831
Rb Br O
2 2 5
direct
0.000 0.000 0.000
0.019 0.492 0.544
0.508 0.992 0.541
0.521 0.499 0.052
0.460 0.712 0.198
0.466 0.289 0.203
0.479 0.769 0.692
0.518 0.206 0.699
0.901 0.497 0.987
```